Diffraction record for Ac3Pr2Nd8. The XRD peak list is theoretical, not measured: it uses a DFT-relaxed cell (GGA-PBE, Alexandria) and Cu Kα, 1.54184 Å.
Neutral-atom scattering factors, no anomalous dispersion.

Peak list (10 most intense, 10 to 90 degrees two-theta, most intense first)
- 2θ = 29.9°, intensity 100.0
- 2θ = 28.6°, intensity 96.5
- 2θ = 30.0°, intensity 96.1
- 2θ = 29.1°, intensity 89.3
- 2θ = 33.2°, intensity 74.5
- 2θ = 30.7°, intensity 48.6
- 2θ = 49.4°, intensity 38.4
- 2θ = 34.3°, intensity 36.6
- 2θ = 32.0°, intensity 30.7
- 2θ = 58.9°, intensity 29.9

Structure:
```
data_Ac3Pr2Nd8
_chemical_formula_sum 'Ac6 Pr4 Nd16'
_symmetry_space_group_name_H-M 'P b a m'
_symmetry_Int_Tables_number 55
_symmetry_space_group_name_Hall '-P 2 2ab'
_cell_length_a 12.087
_cell_length_b 22.240
_cell_length_c 3.688
_cell_angle_alpha 90.00
_cell_angle_beta 90.00
_cell_angle_gamma 90.00
loop_
_atom_site_label
_atom_site_type_symbol
_atom_site_fract_x
_atom_site_fract_y
_atom_site_fract_z
_atom_site_occupancy
Ac1 Ac 0.000 0.000 0.000 1
Ac2 Ac 0.139 0.299 0.000 1
Pr1 Pr 0.177 0.898 0.500 1
Nd1 Nd 0.046 0.431 0.500 1
Nd2 Nd 0.060 0.157 0.000 1
Nd3 Nd 0.138 0.711 0.500 1
Nd4 Nd 0.209 0.555 0.000 1
```